Computed X-ray diffraction stick pattern of Li5FeO4 for Cu Kα, from a cell relaxed with PBE+U.

Structural model:
abc: 8.498 9.711 5.266
angles: 90.00 105.88 90.00
Space group P2_1/c (No. 14)
Unique sites:
Li (0.033, 0.193, 0.359) (multiplicity 4)
Li (0.153, 0.081, 0.911) (multiplicity 4)
Li (0.330, 0.684, 0.475) (multiplicity 4)
Li (0.367, 0.187, 0.647) (multiplicity 4)
Li (0.447, 0.033, 0.203) (multiplicity 4)
Fe (0.235, 0.546, 0.940) (multiplicity 4)
O (0.039, 0.644, 0.838) (multiplicity 4)
O (0.241, 0.135, 0.278) (multiplicity 4)
O (0.324, 0.505, 0.309) (multiplicity 4)
O (0.402, 0.650, 0.847) (multiplicity 4)

Most intense lines, 2θ from 10° to 90°, most intense first:
19.8 deg, rel. 100
25.7 deg, rel. 68
18.3 deg, rel. 54
21.7 deg, rel. 49
28.5 deg, rel. 48
44.0 deg, rel. 31